The following is a computed powder XRD pattern of Na3ZrSi6O18. It was derived from the GGA-PBE geometry in Alexandria, using Cu Kα.
Peak positions follow from Bragg's law for the DFT cell and can differ from measured ones.

Largest 10 diffraction maxima, by angle, 10° ≤ 2θ ≤ 90°:
2θ = 11.70°, I 55, (1 1 0)
2θ = 16.25°, I 100, (1 1 -1)
2θ = 23.53°, I 13, (0 0 2)
2θ = 25.94°, I 47, (3 1 0)
2θ = 26.77°, I 71, (2 2 1)
2θ = 29.11°, I 34, (0 2 2)
2θ = 32.85°, I 31, (4 0 0)
2θ = 34.18°, I 35, (0 4 0)
2θ = 42.32°, I 14, (5 1 0)
2θ = 48.13°, I 22, (4 4 0)

```
data_Na3ZrSi6O18
_chemical_formula_sum 'Na6 Zr2 Si12 O36'
_cell_length_a 10.910
_cell_length_b 10.497
_cell_length_c 7.580
_cell_angle_alpha 90.00
_cell_angle_beta 93.26
_cell_angle_gamma 90.00
_symmetry_space_group_name_H-M 'C 1 2 1'
_symmetry_Int_Tables_number 5
loop_
_symmetry_equiv_pos_as_xyz
'x,y,z'
'-x,y,-z'
'x+1/2,y+1/2,z'
'-x+1/2,y+1/2,-z'
loop_
_atom_site_label
_atom_site_type_symbol
_atom_site_fract_x
_atom_site_fract_y
_atom_site_fract_z
_atom_site_occupancy
Na1 Na 0.000 0.000 0.000 1
Na2 Na 0.250 0.249 0.500 1
Zr1 Zr 0.000 0.000 0.500 1
Si1 Si 0.012 0.274 0.213 1
Si2 Si 0.012 0.726 0.213 1
Si3 Si 0.213 0.500 0.238 1
O1 O 0.000 0.247 0.000 1
O2 O 0.000 0.753 0.000 1
O3 O 0.044 0.141 0.316 1
O4 O 0.044 0.859 0.316 1
O5 O 0.115 0.316 0.703 1
O6 O 0.115 0.684 0.704 1
O7 O 0.126 0.374 0.252 1
O8 O 0.126 0.626 0.252 1
O9 O 0.185 0.000 0.597 1
O10 O 0.203 0.000 0.931 1
```